Calculated X-ray diffraction stick pattern of CaGdCd2 for a wavelength of 1.5418 Å, from a structure optimized by DFT (GGA-PBE).
Peak positions follow from Bragg's law for the DFT cell and can differ from measured ones.

Atomic structure:
a = 7.619 Å, b = 7.619 Å, c = 7.619 Å
α = 90.00°, β = 90.00°, γ = 90.00°
Space group Fm-3m (No. 225)
Asymmetric unit:
Ca: 0.000 0.000 0.000 (multiplicity 4)
Gd: 0.000 0.000 0.500 (multiplicity 4)
Cd: 0.250 0.250 0.250 (multiplicity 8)

Most intense lines, 2θ from 10° to 80°, by angle:
2θ 20.19, d 4.399, I 15; 2θ 33.26, d 2.694, I 100; 2θ 39.22, d 2.297, I 9; 2θ 47.75, d 1.905, I 18; 2θ 52.34, d 1.748, I 4; 2θ 59.43, d 1.555, I 36; 2θ 69.84, d 1.347, I 11; 2θ 79.58, d 1.205, I 15

=====

Calculated X-ray diffraction stick pattern of Ca2CdHg for a wavelength of 1.5418 Å, from a structure optimized by DFT (GGA-PBE).
Peak positions follow from Bragg's law for the DFT cell and can differ from measured ones.

Atomic structure:
a = 7.662 Å, b = 7.662 Å, c = 7.662 Å
α = 90.00°, β = 90.00°, γ = 90.00°
Space group Fm-3m (No. 225)
Asymmetric unit:
Ca: 0.250 0.250 0.250 (multiplicity 8)
Cd: 0.000 0.000 0.000 (multiplicity 4)
Hg: 0.000 0.000 0.500 (multiplicity 4)

Most intense lines, 2θ from 10° to 80°, by angle:
2θ 23.22, d 3.831, I 39; 2θ 33.07, d 2.709, I 100; 2θ 40.80, d 2.212, I 13; 2θ 47.46, d 1.916, I 18; 2θ 53.48, d 1.713, I 18; 2θ 59.06, d 1.564, I 36; 2θ 69.38, d 1.354, I 11; 2θ 79.04, d 1.211, I 16

=====

Calculated X-ray diffraction stick pattern of Ca2CdIn for a wavelength of 1.5418 Å, from a structure optimized by DFT (GGA-PBE).
Peak positions follow from Bragg's law for the DFT cell and can differ from measured ones.

Atomic structure:
a = 7.720 Å, b = 7.720 Å, c = 7.720 Å
α = 90.00°, β = 90.00°, γ = 90.00°
Space group Fm-3m (No. 225)
Asymmetric unit:
Ca: 0.250 0.250 0.250 (multiplicity 8)
Cd: 0.000 0.000 0.000 (multiplicity 4)
In: 0.000 0.000 0.500 (multiplicity 4)

Most intense lines, 2θ from 10° to 80°, by angle:
2θ 23.04, d 3.860, I 26; 2θ 32.81, d 2.729, I 100; 2θ 40.48, d 2.229, I 8; 2θ 47.09, d 1.930, I 17; 2θ 53.05, d 1.726, I 11; 2θ 58.58, d 1.576, I 35; 2θ 68.79, d 1.365, I 11; 2θ 78.33, d 1.221, I 14